Record 1
Starting from a crystal structure in the Materials Project, relaxed with PBE, the XRD peak list of Te4W3S2 was calculated for Cu Kα.
No peak broadening, texture or thermal motion is included.

Crystal structure
```
data_Te4W3S2
_chemical_formula_sum 'Te4 W3 S2'
_cell_length_a 3.4215
_cell_length_b 3.4215
_cell_length_c 31.7494
_cell_angle_alpha 90.00
_cell_angle_beta 90.00
_cell_angle_gamma 120.00
_symmetry_space_group_name_H-M 'P 3 m 1'
_symmetry_Int_Tables_number 156
_symmetry_space_group_name_Hall 'P 3 -2"'
loop_
_atom_site_label
_atom_site_type_symbol
_atom_site_fract_x
_atom_site_fract_y
_atom_site_fract_z
Te1 Te 0.0000 0.0000 0.0000
Te2 Te 0.0000 0.0000 0.1179
Te3 Te 0.3333 0.6667 0.2314
Te4 Te 0.3333 0.6667 0.3494
W1 W 0.0000 0.0000 0.2904
W2 W 0.0000 0.0000 0.8277
W3 W 0.3333 0.6667 0.0590
S1 S 0.3333 0.6667 0.7804
S2 S 0.3333 0.6667 0.8750
```

Most intense lines, 10° ≤ 2θ ≤ 80°, sorted by position:
hkl 0 0 4, 2θ = 11.15°, intensity 100
hkl 1 0 0, 2θ = 30.16°, intensity 29
hkl 0 1 6, 2θ = 34.70°, intensity 53
hkl 1 0 7, 2θ = 36.21°, intensity 61
hkl 1 0 11, 2θ = 43.79°, intensity 39
hkl 1 1 0, 2θ = 53.59°, intensity 32



Record 2
Starting from a crystal structure in the Materials Project, relaxed with PBE, the XRD peak list of LiBO3 was calculated for Cu Kα.
No peak broadening, texture or thermal motion is included.

Crystal structure
```
data_LiBO3
_chemical_formula_sum 'Li1 B1 O3'
_cell_length_a 3.3076
_cell_length_b 3.3076
_cell_length_c 3.3076
_cell_angle_alpha 90.00
_cell_angle_beta 90.00
_cell_angle_gamma 90.00
_symmetry_space_group_name_H-M 'P m -3 m'
_symmetry_Int_Tables_number 221
_symmetry_space_group_name_Hall '-P 4 2 3'
loop_
_atom_site_label
_atom_site_type_symbol
_atom_site_fract_x
_atom_site_fract_y
_atom_site_fract_z
Li1 Li 0.0000 0.0000 0.0000
B1 B 0.5000 0.5000 0.5000
O1 O 0.0000 0.5000 0.5000
```

Most intense lines, 10° ≤ 2θ ≤ 80°, sorted by position:
hkl 1 0 0, 2θ = 26.96°, intensity 91
hkl 1 1 0, 2θ = 38.49°, intensity 2
hkl 1 1 1, 2θ = 47.62°, intensity 100
hkl 2 0 0, 2θ = 55.57°, intensity 73
hkl 2 1 0, 2θ = 62.82°, intensity 14



Record 3
Starting from a crystal structure in the Materials Project, relaxed with PBE, the XRD peak list of Er3GaO6 was calculated for Cu Kα.
No peak broadening, texture or thermal motion is included.

Crystal structure
```
data_Er3GaO6
_chemical_formula_sum 'Er12 Ga4 O24'
_cell_length_a 8.8201
_cell_length_b 11.0598
_cell_length_c 5.3970
_cell_angle_alpha 90.00
_cell_angle_beta 90.00
_cell_angle_gamma 90.00
_symmetry_space_group_name_H-M 'C m c 21'
_symmetry_Int_Tables_number 36
_symmetry_space_group_name_Hall 'C 2c -2'
loop_
_atom_site_label
_atom_site_type_symbol
_atom_site_fract_x
_atom_site_fract_y
_atom_site_fract_z
Er1 Er 0.0000 0.1014 0.0000
Er2 Er 0.1934 0.3949 0.0491
Ga1 Ga 0.0000 0.3064 0.5794
O1 O 0.0000 0.2846 0.2392
O2 O 0.0000 0.4613 0.7277
O3 O 0.1591 0.2349 0.7610
O4 O 0.1604 0.0174 0.2750
```

Most intense lines, 10° ≤ 2θ ≤ 80°, sorted by position:
hkl 2 2 1, 2θ = 30.77°, intensity 100
hkl 1 3 1, 2θ = 31.08°, intensity 41
hkl 3 1 0, 2θ = 31.49°, intensity 19
hkl 0 0 2, 2θ = 33.20°, intensity 21
hkl 3 1 2, 2θ = 46.41°, intensity 23
hkl 3 5 0, 2θ = 51.71°, intensity 23



Record 4
Starting from a crystal structure in the Materials Project, relaxed with PBE, the XRD peak list of MgPC2O8 was calculated for Cu Kα.
No peak broadening, texture or thermal motion is included.

Crystal structure
```
data_MgPC2O8
_chemical_formula_sum 'Mg4 P4 C8 O32'
_cell_length_a 6.2485
_cell_length_b 18.2365
_cell_length_c 8.1332
_cell_angle_alpha 90.00
_cell_angle_beta 108.86
_cell_angle_gamma 90.00
_symmetry_space_group_name_H-M 'P 1 21/c 1'
_symmetry_Int_Tables_number 14
_symmetry_space_group_name_Hall '-P 2ybc'
loop_
_atom_site_label
_atom_site_type_symbol
_atom_site_fract_x
_atom_site_fract_y
_atom_site_fract_z
Mg1 Mg 0.1729 0.1335 0.4793
P1 P 0.0922 0.1900 0.8489
C1 C 0.2401 0.6990 0.6909
C2 C 0.4076 0.5378 0.6555
O1 O 0.0669 0.1575 0.6731
O2 O 0.0976 0.2268 0.3529
O3 O 0.1362 0.0392 0.3438
O4 O 0.1911 0.1467 0.0084
O5 O 0.2701 0.5307 0.5185
O6 O 0.4197 0.7209 0.7202
O7 O 0.4503 0.1103 0.4105
O8 O 0.4526 0.0483 0.7093
```

Most intense lines, 10° ≤ 2θ ≤ 80°, sorted by position:
hkl 0 2 1, 2θ = 15.05°, intensity 81
hkl 1 1 0, 2θ = 15.76°, intensity 90
hkl 1 2 0, 2θ = 17.88°, intensity 71
hkl 0 1 2, 2θ = 23.64°, intensity 100
hkl 1 4 -1, 2θ = 25.10°, intensity 76
hkl 2 0 -2, 2θ = 31.64°, intensity 79



Record 5
Starting from a crystal structure in the Materials Project, relaxed with PBE, the XRD peak list of HfPRu was calculated for Cu Kα.
No peak broadening, texture or thermal motion is included.

Crystal structure
```
data_HfPRu
_chemical_formula_sum 'Hf3 P3 Ru3'
_cell_length_a 6.4358
_cell_length_b 6.4358
_cell_length_c 3.7928
_cell_angle_alpha 90.00
_cell_angle_beta 90.00
_cell_angle_gamma 120.00
_symmetry_space_group_name_H-M 'P -6 2 m'
_symmetry_Int_Tables_number 189
_symmetry_space_group_name_Hall 'P -6 -2'
loop_
_atom_site_label
_atom_site_type_symbol
_atom_site_fract_x
_atom_site_fract_y
_atom_site_fract_z
Hf1 Hf 0.0000 0.4163 0.0000
P1 P 0.0000 0.0000 0.0000
P2 P 0.3333 0.6667 0.5000
Ru1 Ru 0.0000 0.7534 0.5000
```

Most intense lines, 10° ≤ 2θ ≤ 80°, sorted by position:
hkl 1 1 0, 2θ = 27.72°, intensity 22
hkl 1 1 1, 2θ = 36.62°, intensity 100
hkl 2 0 1, 2θ = 40.15°, intensity 67
hkl 2 1 0, 2θ = 42.93°, intensity 49
hkl 3 1 1, 2θ = 65.17°, intensity 32
hkl 2 1 2, 2θ = 66.32°, intensity 27



Record 6
Starting from a crystal structure in the Materials Project, relaxed with PBE, the XRD peak list of CaAu5 was calculated for Cu Kα.
No peak broadening, texture or thermal motion is included.

Crystal structure
```
data_CaAu5
_chemical_formula_sum 'Ca4 Au20'
_cell_length_a 7.8910
_cell_length_b 7.8910
_cell_length_c 7.8910
_cell_angle_alpha 90.00
_cell_angle_beta 90.00
_cell_angle_gamma 90.00
_symmetry_space_group_name_H-M 'F -4 3 m'
_symmetry_Int_Tables_number 216
_symmetry_space_group_name_Hall 'F -4 2 3'
loop_
_atom_site_label
_atom_site_type_symbol
_atom_site_fract_x
_atom_site_fract_y
_atom_site_fract_z
Ca1 Ca 0.0000 0.0000 0.0000
Au1 Au 0.1248 0.1248 0.3752
Au2 Au 0.2500 0.2500 0.7500
```

Most intense lines, 10° ≤ 2θ ≤ 80°, sorted by position:
hkl 1 1 1, 2θ = 19.48°, intensity 32
hkl 2 2 0, 2θ = 32.08°, intensity 13
hkl 3 1 1, 2θ = 37.81°, intensity 100
hkl 2 2 2, 2θ = 39.56°, intensity 58
hkl 3 3 3, 2θ = 61.01°, intensity 33
hkl 4 4 0, 2θ = 67.10°, intensity 30



Record 7
Starting from a crystal structure in the Materials Project, relaxed with PBE, the XRD peak list of NaHoF4 was calculated for Cu Kα.
No peak broadening, texture or thermal motion is included.

Crystal structure
```
data_NaHoF4
_chemical_formula_sum 'Na4 Ho4 F16'
_cell_length_a 5.4661
_cell_length_b 5.4661
_cell_length_c 10.7631
_cell_angle_alpha 90.00
_cell_angle_beta 90.00
_cell_angle_gamma 90.00
_symmetry_space_group_name_H-M 'I 41/a m d'
_symmetry_Int_Tables_number 141
loop_
_symmetry_equiv_pos_as_xyz
'x,y,z'
'-x,-y,-z'
'-y+1/4,x+3/4,z+1/4'
'y+1/4,-x+3/4,-z+1/4'
'-x+1/2,-y,z+1/2'
'x+1/2,y,-z+1/2'
'y+1/4,-x+1/4,z+3/4'
'-y+1/4,x+1/4,-z+3/4'
'x,-y,-z'
'-x,y,z'
'-y+1/4,-x+1/4,-z+3/4'
'y+1/4,x+1/4,z+3/4'
'-x+1/2,y,-z+1/2'
'x+1/2,-y,z+1/2'
'y+1/4,x+3/4,-z+1/4'
'-y+1/4,-x+3/4,z+1/4'
'x+1/2,y+1/2,z+1/2'
'-x+1/2,-y+1/2,-z+1/2'
'-y+3/4,x+1/4,z+3/4'
'y+3/4,-x+1/4,-z+3/4'
'-x,-y+1/2,z'
'x,y+1/2,-z'
'y+3/4,-x+3/4,z+1/4'
'-y+3/4,x+3/4,-z+1/4'
'x+1/2,-y+1/2,-z+1/2'
'-x+1/2,y+1/2,z+1/2'
'-y+3/4,-x+3/4,-z+1/4'
'y+3/4,x+3/4,z+1/4'
'-x,y+1/2,-z'
'x,-y+1/2,z'
'y+3/4,x+1/4,-z+3/4'
'-y+3/4,-x+1/4,z+3/4'
loop_
_atom_site_label
_atom_site_type_symbol
_atom_site_fract_x
_atom_site_fract_y
_atom_site_fract_z
Na1 Na 0.0000 0.2500 0.3750
Ho1 Ho 0.0000 0.2500 0.8750
F1 F 0.2296 0.0000 0.0000
```

Most intense lines, 10° ≤ 2θ ≤ 80°, sorted by position:
hkl 1 0 1, 2θ = 18.20°, intensity 88
hkl 1 1 2, 2θ = 28.43°, intensity 100
hkl 2 1 1, 2θ = 37.74°, intensity 23
hkl 2 2 0, 2θ = 47.02°, intensity 24
hkl 2 0 4, 2θ = 47.41°, intensity 47
hkl 3 1 2, 2θ = 55.87°, intensity 30



Record 8
Starting from a crystal structure in the Materials Project, relaxed with PBE, the XRD peak list of PuP was calculated for Cu Kα.
No peak broadening, texture or thermal motion is included.

Crystal structure
```
data_PuP
_chemical_formula_sum 'Pu4 P4'
_cell_length_a 5.6643
_cell_length_b 5.6643
_cell_length_c 5.6643
_cell_angle_alpha 90.00
_cell_angle_beta 90.00
_cell_angle_gamma 90.00
_symmetry_space_group_name_H-M 'F m -3 m'
_symmetry_Int_Tables_number 225
_symmetry_space_group_name_Hall '-F 4 2 3'
loop_
_atom_site_label
_atom_site_type_symbol
_atom_site_fract_x
_atom_site_fract_y
_atom_site_fract_z
Pu1 Pu 0.0000 0.0000 0.0000
P1 P 0.0000 0.0000 0.5000
```

Most intense lines, 10° ≤ 2θ ≤ 80°, sorted by position:
hkl 1 1 1, 2θ = 27.27°, intensity 100
hkl 2 0 0, 2θ = 31.59°, intensity 90
hkl 2 2 0, 2θ = 45.28°, intensity 67
hkl 3 1 1, 2θ = 53.67°, intensity 50
hkl 2 2 2, 2θ = 56.26°, intensity 24
hkl 4 2 0, 2θ = 74.99°, intensity 31



- What is the formula in the third record?
  Er3GaO6



- What is the formula in the fourth record?
  MgPC2O8



Please write out number 7 again, unchanged.
Starting from a crystal structure in the Materials Project, relaxed with PBE, the XRD peak list of NaHoF4 was calculated for Cu Kα.
No peak broadening, texture or thermal motion is included.

Crystal structure
```
data_NaHoF4
_chemical_formula_sum 'Na4 Ho4 F16'
_cell_length_a 5.4661
_cell_length_b 5.4661
_cell_length_c 10.7631
_cell_angle_alpha 90.00
_cell_angle_beta 90.00
_cell_angle_gamma 90.00
_symmetry_space_group_name_H-M 'I 41/a m d'
_symmetry_Int_Tables_number 141
loop_
_symmetry_equiv_pos_as_xyz
'x,y,z'
'-x,-y,-z'
'-y+1/4,x+3/4,z+1/4'
'y+1/4,-x+3/4,-z+1/4'
'-x+1/2,-y,z+1/2'
'x+1/2,y,-z+1/2'
'y+1/4,-x+1/4,z+3/4'
'-y+1/4,x+1/4,-z+3/4'
'x,-y,-z'
'-x,y,z'
'-y+1/4,-x+1/4,-z+3/4'
'y+1/4,x+1/4,z+3/4'
'-x+1/2,y,-z+1/2'
'x+1/2,-y,z+1/2'
'y+1/4,x+3/4,-z+1/4'
'-y+1/4,-x+3/4,z+1/4'
'x+1/2,y+1/2,z+1/2'
'-x+1/2,-y+1/2,-z+1/2'
'-y+3/4,x+1/4,z+3/4'
'y+3/4,-x+1/4,-z+3/4'
'-x,-y+1/2,z'
'x,y+1/2,-z'
'y+3/4,-x+3/4,z+1/4'
'-y+3/4,x+3/4,-z+1/4'
'x+1/2,-y+1/2,-z+1/2'
'-x+1/2,y+1/2,z+1/2'
'-y+3/4,-x+3/4,-z+1/4'
'y+3/4,x+3/4,z+1/4'
'-x,y+1/2,-z'
'x,-y+1/2,z'
'y+3/4,x+1/4,-z+3/4'
'-y+3/4,-x+1/4,z+3/4'
loop_
_atom_site_label
_atom_site_type_symbol
_atom_site_fract_x
_atom_site_fract_y
_atom_site_fract_z
Na1 Na 0.0000 0.2500 0.3750
Ho1 Ho 0.0000 0.2500 0.8750
F1 F 0.2296 0.0000 0.0000
```

Most intense lines, 10° ≤ 2θ ≤ 80°, sorted by position:
hkl 1 0 1, 2θ = 18.20°, intensity 88
hkl 1 1 2, 2θ = 28.43°, intensity 100
hkl 2 1 1, 2θ = 37.74°, intensity 23
hkl 2 2 0, 2θ = 47.02°, intensity 24
hkl 2 0 4, 2θ = 47.41°, intensity 47
hkl 3 1 2, 2θ = 55.87°, intensity 30